Simulated X-ray powder pattern of ErClO for Cu Kα (weighted mean of Kα1 and Kα2), from the PBE geometry in Alexandria.

Main lines, in order of falling intensity (10° ≤ 2θ ≤ 90°):
index	d_spacing	2θ (°)	I_rel
0 0 1	8.185	10.8	100
1 0 2	2.769	32.3	99
1 1 0	2.659	33.7	41
1 0 1	3.417	26.1	41
1 2 2	1.555	59.4	34
2 0 0	1.880	48.4	20

Atomic structure:
Lattice parameters (Å, degrees): 3.760 3.760 8.185 90.00 90.01 90.00
Space group P2_1 (No. 4)
One atom of each set of equivalent atoms:
Er1 0.250 0.000 0.140 x2
Cl1 0.250 0.999 0.678 x2
O1 0.250 0.500 0.000 x2

=====

Simulated X-ray powder pattern of AcHfTe4 for Cu Kα (weighted mean of Kα1 and Kα2), from the PBE geometry in Alexandria.

Main lines, in order of falling intensity (10° ≤ 2θ ≤ 90°):
index	d_spacing	2θ (°)	I_rel
0 2 0	2.848	31.4	100
1 1 3	2.763	32.4	53
1 1 0	5.414	16.4	43
2 0 -1	6.765	13.1	42
2 0 0	8.742	10.1	36
6 0 0	2.914	30.7	32

Atomic structure:
Lattice parameters (Å, degrees): 17.530 5.694 9.796 90.00 94.20 90.00
Space group C2/m (No. 12)
One atom of each set of equivalent atoms:
Ac1 0.244 0.000 0.222 x4
Hf1 0.092 0.000 0.638 x4
Te1 0.065 0.000 0.336 x4
Te2 0.093 0.500 0.595 x4
Te3 0.153 0.000 0.914 x4
Te4 0.242 0.500 0.393 x4

=====

Simulated X-ray powder pattern of Li6NdPd6 for Cu Kα (weighted mean of Kα1 and Kα2), from the PBE geometry in Alexandria.

Main lines, in order of falling intensity (10° ≤ 2θ ≤ 90°):
index	d_spacing	2θ (°)	I_rel
0 2 2	3.135	28.5	100
2 0 2	2.329	38.7	79
0 2 0	4.246	20.9	68
0 1 1	6.262	14.1	52
2 2 2	2.042	44.4	42
0 0 4	2.318	38.8	40

Atomic structure:
Lattice parameters (Å, degrees): 5.386 8.492 9.272 90.00 90.00 90.00
Space group Immm (No. 71)
One atom of each set of equivalent atoms:
Li1 0.000 0.000 0.142 x4
Li2 0.000 0.345 0.500 x4
Li3 0.000 0.500 0.209 x4
Nd1 0.000 0.000 0.500 x2
Pd1 0.000 0.289 0.000 x4
Pd2 0.250 0.250 0.250 x8